[1]
For Ho5Tm6Th2, a crystal structure in Alexandria, relaxed with GGA-PBE gives the simulated powder X-ray diffraction pattern in this record (Cu Kα).
Intensities are scaled so that the largest is 100.

Structure:
```
Ho5Tm6Th2
1.0
11.4255 0.0000 0.0000
0.0000 20.3439 0.0000
0.0000 0.0000 3.5233
Ho Tm Th
10 12 4
direct
0.0000 0.0000 0.0000 Ho
0.0745 0.2906 0.0000 Ho
0.1936 0.5726 0.0000 Ho
0.3064 0.0726 0.0000 Ho
0.4255 0.7906 0.0000 Ho
0.5000 0.5000 0.0000 Ho
0.5745 0.2094 0.0000 Ho
0.6936 0.9274 0.0000 Ho
0.8064 0.4274 0.0000 Ho
0.9255 0.7094 0.0000 Ho
0.0653 0.1454 0.5000 Tm
0.0743 0.4345 0.5000 Tm
0.1856 0.8778 0.0000 Tm
0.3144 0.3778 0.0000 Tm
0.4257 0.9345 0.5000 Tm
0.4347 0.6454 0.5000 Tm
0.5653 0.3546 0.5000 Tm
0.5743 0.0655 0.5000 Tm
0.6856 0.6222 0.0000 Tm
0.8144 0.1222 0.0000 Tm
0.9257 0.5655 0.5000 Tm
0.9347 0.8546 0.5000 Tm
0.1829 0.7331 0.5000 Th
0.3171 0.2331 0.5000 Th
0.6829 0.7669 0.5000 Th
0.8171 0.2669 0.5000 Th
```

Most intense lines, 10 to 80 degrees two-theta, by angle:
- 2θ = 31.6°, d 2.829, intensity 78
- 2θ = 31.8°, d 2.817, intensity 63
- 2θ = 31.9°, d 2.807, intensity 41
- 2θ = 32.6°, d 2.743, intensity 100
- 2θ = 34.7°, d 2.583, intensity 58
- 2θ = 62.1°, d 1.495, intensity 42

[2]
For Li6In12Bi, a crystal structure in Alexandria, relaxed with GGA-PBE gives the simulated powder X-ray diffraction pattern in this record (Cu Kα).
Intensities are scaled so that the largest is 100.

Structure:
```
Li6In12Bi
1.0
5.2355 3.0227 4.7676
-5.2355 3.0227 4.7676
0.0000 -6.0454 4.7676
Li In Bi
6 12 1
direct
0.2219 0.7630 0.6092 Li
0.2370 0.3908 0.7781 Li
0.3908 0.7781 0.2370 Li
0.6092 0.2219 0.7630 Li
0.7630 0.6092 0.2219 Li
0.7781 0.2370 0.3908 Li
0.0350 0.9277 0.2951 In
0.0723 0.7049 0.9650 In
0.1161 0.4687 0.3315 In
0.2951 0.0350 0.9277 In
0.3315 0.1161 0.4687 In
0.4687 0.3315 0.1161 In
0.5313 0.6685 0.8839 In
0.6685 0.8839 0.5313 In
0.7049 0.9650 0.0723 In
0.8839 0.5313 0.6685 In
0.9277 0.2951 0.0350 In
0.9650 0.0723 0.7049 In
0.5000 0.5000 0.5000 Bi
```

Most intense lines, 10 to 80 degrees two-theta, by angle:
- 2θ = 23.2°, d 3.829, intensity 28
- 2θ = 26.7°, d 3.333, intensity 73
- 2θ = 32.8°, d 2.728, intensity 59
- 2θ = 35.2°, d 2.553, intensity 39
- 2θ = 36.3°, d 2.475, intensity 100
- 2θ = 37.9°, d 2.373, intensity 30

[3]
For Al2Se2I, a crystal structure in Alexandria, relaxed with GGA-PBE gives the simulated powder X-ray diffraction pattern in this record (Cu Kα).
Intensities are scaled so that the largest is 100.

Structure:
```
Al2Se2I
1.0
-4.0947 4.0947 4.8878
4.0947 -4.0947 4.8878
4.0947 4.0947 -4.8878
Al Se I
4 4 2
direct
0.3077 0.0000 0.3077 Al
0.6923 0.0000 0.6923 Al
0.7500 0.5577 0.8077 Al
0.7500 0.9423 0.1923 Al
0.5044 0.2389 0.7346 Se
0.5044 0.7698 0.2654 Se
0.5198 0.7544 0.7654 Se
0.9889 0.7544 0.2346 Se
0.1151 0.1151 0.0000 I
0.8651 0.3651 0.5000 I
```

Most intense lines, 10 to 80 degrees two-theta, by angle:
- 2θ = 21.7°, d 4.095, intensity 28
- 2θ = 23.8°, d 3.735, intensity 39
- 2θ = 26.0°, d 3.430, intensity 100
- 2θ = 29.5°, d 3.028, intensity 48
- 2θ = 40.8°, d 2.212, intensity 45
- 2θ = 48.8°, d 1.868, intensity 35